# 1
The following is a theoretical powder diffraction line list of Na5Cd5Au2. It was derived from DFT lattice parameters and positions (GGA-PBE), using CuKα.

Top 12 peaks for 2θ from 10° to 90°, sorted by position:
2θ = 11.27°, intensity 64; 2θ = 19.32°, intensity 92; 2θ = 22.68°, intensity 28; 2θ = 29.32°, intensity 49; 2θ = 33.43°, intensity 33; 2θ = 34.69°, intensity 100; 2θ = 36.41°, intensity 57; 2θ = 37.18°, intensity 37; 2θ = 45.77°, intensity 32; 2θ = 46.30°, intensity 30; 2θ = 47.40°, intensity 26; 2θ = 64.38°, intensity 17

Structural model:
abc: 8.0433 8.0433 9.5934
angles: 123.14 123.14 35.75
Fractional positions:
Na (0.0000, 0.0000, 0.0000)
Na (0.1018, 0.1018, 0.7921)
Na (0.1806, 0.1806, 0.5337)
Na (0.8194, 0.8194, 0.4663)
Na (0.8982, 0.8982, 0.2079)
Cd (0.2659, 0.2659, 0.1916)
Cd (0.4393, 0.4393, 0.7507)
Cd (0.5000, 0.5000, 0.5000)
Cd (0.5607, 0.5607, 0.2493)
Cd (0.7341, 0.7341, 0.8084)
Au (0.3454, 0.3454, 0.9422)
Au (0.6546, 0.6546, 0.0578)

=====

# 2
The following is a theoretical powder diffraction line list of NaCd10Au3. It was derived from DFT lattice parameters and positions (GGA-PBE), using CuKα.

Top 12 peaks for 2θ from 10° to 90°, sorted by position:
2θ = 12.58°, intensity 18; 2θ = 17.83°, intensity 70; 2θ = 21.88°, intensity 33; 2θ = 33.08°, intensity 100; 2θ = 36.11°, intensity 82; 2θ = 37.83°, intensity 64; 2θ = 38.39°, intensity 41; 2θ = 42.63°, intensity 71; 2θ = 57.07°, intensity 17; 2θ = 59.90°, intensity 18; 2θ = 64.94°, intensity 41; 2θ = 77.68°, intensity 20

Structural model:
abc: 9.9483 9.9483 9.9483
angles: 60.00 60.00 60.00
Fractional positions:
Na (0.2500, 0.2500, 0.2500)
Na (0.7500, 0.7500, 0.7500)
Cd (0.0000, 0.0000, 0.3474)
Cd (0.0000, 0.0000, 0.6526)
Cd (0.0000, 0.3474, 0.0000)
Cd (0.0000, 0.3474, 0.6526)
Cd (0.0000, 0.6526, 0.0000)
Cd (0.0000, 0.6526, 0.3474)
Cd (0.1417, 0.6194, 0.6194)
Cd (0.3474, 0.0000, 0.0000)
Cd (0.3474, 0.0000, 0.6526)
Cd (0.3474, 0.6526, 0.0000)
Cd (0.3806, 0.3806, 0.3806)
Cd (0.3806, 0.3806, 0.8583)
Cd (0.3806, 0.8583, 0.3806)
Cd (0.6194, 0.1417, 0.6194)
Cd (0.6194, 0.6194, 0.1417)
Cd (0.6194, 0.6194, 0.6194)
Cd (0.6526, 0.0000, 0.0000)
Cd (0.6526, 0.0000, 0.3474)
Cd (0.6526, 0.3474, 0.0000)
Cd (0.8583, 0.3806, 0.3806)
Au (0.2684, 0.2684, 0.7316)
Au (0.2684, 0.7316, 0.2684)
Au (0.2684, 0.7316, 0.7316)
Au (0.7316, 0.2684, 0.2684)
Au (0.7316, 0.2684, 0.7316)
Au (0.7316, 0.7316, 0.2684)